Computed powder diffraction line list
Compound: Pm3Ga2BRu3
Radiation: Cu Kα
Structure: a GGA-PBE-relaxed structure
Neutral-atom scattering factors, no anomalous dispersion.

Atomic structure:
Unit cell a=7.3899 b=7.3899 c=3.5820 alpha=90.00 beta=90.00 gamma=120.00
Space group P-62m (No. 189)
Unique sites:
1 Pm 0.0000 0.6363 0.0000 (multiplicity 3)
2 Ga 0.3333 0.6667 0.5000 (multiplicity 2)
3 B 0.0000 0.0000 0.0000 (multiplicity 1)
4 Ru 0.0000 0.2203 0.5000 (multiplicity 3)

Main lines, sorted by position (2θ from 10° to 90°):
24.09 deg, I = 18.7, hkl 1 1 0
34.89 deg, I = 100.0, hkl 1 1 1
37.17 deg, I = 34.5, hkl 2 1 0
37.69 deg, I = 16.6, hkl 2 0 1
42.37 deg, I = 23.1, hkl 3 0 0
45.23 deg, I = 15.6, hkl 2 1 1
49.33 deg, I = 12.6, hkl 2 2 0
50.99 deg, I = 12.4, hkl 0 0 2
64.77 deg, I = 13.3, hkl 2 1 2
72.67 deg, I = 19.2, hkl 4 1 1

=====

Computed powder diffraction line list
Compound: Rb3Sb2Te4
Radiation: Cu Kα
Structure: a GGA-PBE-relaxed structure
Neutral-atom scattering factors, no anomalous dispersion.

Atomic structure:
Unit cell a=17.424 b=10.022 c=10.119 alpha=90.00 beta=93.79 gamma=90.00
Space group C2/c (No. 15)
Unique sites:
1 Rb 0.000 0.023 0.250 (multiplicity 4)
2 Rb 0.133 0.395 0.866 (multiplicity 8)
3 Sb 0.196 0.147 0.548 (multiplicity 8)
4 Te 0.058 0.280 0.513 (multiplicity 8)
5 Te 0.210 0.043 0.843 (multiplicity 8)

Main lines, sorted by position (2θ from 10° to 90°):
10.18 deg, I = 39.9, hkl 2 0 0
13.67 deg, I = 100.0, hkl 1 1 1
19.30 deg, I = 42.3, hkl 3 1 -1
22.02 deg, I = 49.1, hkl 2 2 -1
25.04 deg, I = 71.3, hkl 0 2 2
27.15 deg, I = 99.4, hkl 5 1 0
28.15 deg, I = 55.7, hkl 4 2 -1
28.76 deg, I = 60.3, hkl 1 1 3
32.46 deg, I = 42.0, hkl 3 3 1
37.31 deg, I = 51.6, hkl 4 2 -3

=====

Computed powder diffraction line list
Compound: SrBeTe2O8
Radiation: Cu Kα
Structure: a GGA-PBE-relaxed structure
Neutral-atom scattering factors, no anomalous dispersion.

Atomic structure:
Unit cell a=6.340 b=7.637 c=6.377 alpha=90.00 beta=90.00 gamma=90.00
Space group Cmmm (No. 65)
Unique sites:
1 Sr 0.000 0.000 0.000 (multiplicity 2)
2 Be 0.000 0.000 0.500 (multiplicity 2)
3 Te 0.000 0.500 0.267 (multiplicity 4)
4 O 0.000 0.320 0.500 (multiplicity 4)
5 O 0.000 0.339 0.000 (multiplicity 4)
6 O 0.202 0.000 0.297 (multiplicity 8)

Main lines, sorted by position (2θ from 10° to 90°):
18.19 deg, I = 69.7, hkl 1 1 0
22.95 deg, I = 27.6, hkl 1 1 1
23.29 deg, I = 100.0, hkl 0 2 0
28.15 deg, I = 55.2, hkl 2 0 0
33.58 deg, I = 91.1, hkl 1 1 2
36.72 deg, I = 24.4, hkl 0 2 2
36.85 deg, I = 27.0, hkl 2 2 0
47.92 deg, I = 57.9, hkl 1 3 2
53.37 deg, I = 34.7, hkl 3 1 2
64.31 deg, I = 29.0, hkl 3 3 2

=====

Computed powder diffraction line list
Compound: Hf4GeSe5
Radiation: Cu Kα
Structure: a GGA-PBE-relaxed structure
Neutral-atom scattering factors, no anomalous dispersion.

Atomic structure:
Unit cell a=16.494 b=3.764 c=7.711 alpha=90.00 beta=101.74 gamma=90.00
Space group C2/m (No. 12)
Unique sites:
1 Hf 0.002 0.000 0.244 (multiplicity 4)
2 Hf 0.165 0.500 0.079 (multiplicity 4)
3 Ge 0.000 0.500 0.000 (multiplicity 2)
4 Se 0.000 0.500 0.500 (multiplicity 2)
5 Se 0.166 0.000 0.327 (multiplicity 4)
6 Se 0.169 0.000 0.822 (multiplicity 4)

Main lines, sorted by position (2θ from 10° to 90°):
10.96 deg, I = 9.9, hkl 2 0 0
11.72 deg, I = 27.6, hkl 0 0 1
17.64 deg, I = 10.0, hkl 2 0 1
33.28 deg, I = 100.0, hkl 6 0 0
47.21 deg, I = 37.3, hkl 5 1 2
48.34 deg, I = 34.8, hkl 0 2 0
59.95 deg, I = 18.8, hkl 6 2 0
78.75 deg, I = 11.4, hkl 4 2 4
80.48 deg, I = 16.1, hkl 1 3 -2
89.54 deg, I = 8.4, hkl 5 3 2

=====

Computed powder diffraction line list
Compound: CsSr2ZrIn
Radiation: Cu Kα
Structure: a GGA-PBE-relaxed structure
Neutral-atom scattering factors, no anomalous dispersion.

Atomic structure:
Unit cell a=6.134 b=6.134 c=5.969 alpha=90.00 beta=90.00 gamma=90.00
Space group P4/mmm (No. 123)
Unique sites:
1 Cs 0.000 0.000 0.000 (multiplicity 1)
2 Sr 0.000 0.500 0.000 (multiplicity 2)
3 Zr 0.500 0.500 0.500 (multiplicity 1)
4 In 0.000 0.000 0.500 (multiplicity 1)

Main lines, sorted by position (2θ from 10° to 90°):
14.44 deg, I = 45.7, hkl 1 0 0
20.48 deg, I = 24.3, hkl 1 1 0
25.38 deg, I = 70.4, hkl 1 1 1
29.11 deg, I = 100.0, hkl 2 0 0
29.94 deg, I = 46.5, hkl 0 0 2
41.64 deg, I = 37.3, hkl 2 2 0
42.25 deg, I = 71.5, hkl 2 0 2
49.40 deg, I = 22.3, hkl 3 1 1
52.13 deg, I = 38.2, hkl 2 2 2
76.42 deg, I = 24.5, hkl 4 2 2

=====

Computed powder diffraction line list
Compound: Ac3GaPd2O9
Radiation: Cu Kα
Structure: a GGA-PBE-relaxed structure
Neutral-atom scattering factors, no anomalous dispersion.

Atomic structure:
Unit cell a=5.7344 b=5.7344 c=7.0337 alpha=90.00 beta=90.00 gamma=120.00
Space group P-3m1 (No. 164)
Unique sites:
1 Ac 0.0000 0.0000 0.0000 (multiplicity 1)
2 Ac 0.3333 0.6667 0.6677 (multiplicity 2)
3 Ga 0.0000 0.0000 0.5000 (multiplicity 1)
4 Pd 0.3333 0.6667 0.1719 (multiplicity 2)
5 O 0.0000 0.5000 0.0000 (multiplicity 3)
6 O 0.1622 0.3245 0.3396 (multiplicity 6)

Main lines, sorted by position (2θ from 10° to 90°):
21.91 deg, I = 14.1, hkl 1 0 1
31.18 deg, I = 100.0, hkl 1 1 0
38.43 deg, I = 12.7, hkl 0 0 3
44.67 deg, I = 27.5, hkl 2 0 2
50.29 deg, I = 7.6, hkl 1 1 3
55.48 deg, I = 40.9, hkl 3 0 0
65.02 deg, I = 17.3, hkl 2 2 0
73.87 deg, I = 17.9, hkl 3 1 2
78.12 deg, I = 3.4, hkl 2 0 5
82.37 deg, I = 4.4, hkl 0 4 2

=====

Computed powder diffraction line list
Compound: ZrTaH2
Radiation: Cu Kα
Structure: a GGA-PBE-relaxed structure
Neutral-atom scattering factors, no anomalous dispersion.

Atomic structure:
Unit cell a=5.208 b=3.032 c=5.890 alpha=90.00 beta=90.94 gamma=90.00
Space group P2/c (No. 13)
Unique sites:
1 Zr 0.000 0.209 0.250 (multiplicity 2)
2 Ta 0.500 0.500 0.000 (multiplicity 2)
3 H 0.157 0.295 0.936 (multiplicity 4)

Main lines, sorted by position (2θ from 10° to 90°):
17.03 deg, I = 43.0, hkl 1 0 0
29.46 deg, I = 43.7, hkl 0 1 0
34.22 deg, I = 100.0, hkl 1 1 0
34.44 deg, I = 88.3, hkl 2 0 0
34.75 deg, I = 87.4, hkl 1 0 -2
35.26 deg, I = 81.8, hkl 1 0 2
42.81 deg, I = 54.5, hkl 0 1 2
55.72 deg, I = 30.0, hkl 2 1 -2
61.57 deg, I = 35.4, hkl 3 0 -2
63.97 deg, I = 30.2, hkl 1 2 0

=====

Computed powder diffraction line list
Compound: Mg2Sc6N
Radiation: Cu Kα
Structure: a GGA-PBE-relaxed structure
Neutral-atom scattering factors, no anomalous dispersion.

Atomic structure:
Unit cell a=9.148 b=9.148 c=9.148 alpha=90.00 beta=90.00 gamma=90.00
Space group Fm-3m (No. 225)
Unique sites:
1 Mg 0.250 0.250 0.250 (multiplicity 8)
2 Sc 0.000 0.000 0.243 (multiplicity 24)
3 N 0.000 0.000 0.000 (multiplicity 4)

Main lines, sorted by position (2θ from 10° to 90°):
16.79 deg, I = 5.0, hkl 1 1 1
19.41 deg, I = 10.3, hkl 2 0 0
27.58 deg, I = 1.6, hkl 2 2 0
33.95 deg, I = 100.0, hkl 2 2 2
39.40 deg, I = 57.0, hkl 4 0 0
44.28 deg, I = 3.4, hkl 4 2 0
56.94 deg, I = 34.5, hkl 4 4 0
67.97 deg, I = 33.3, hkl 6 2 2
71.44 deg, I = 10.8, hkl 4 4 4
84.78 deg, I = 4.9, hkl 8 0 0

=====

Computed powder diffraction line list
Compound: Sb2TePd2
Radiation: Cu Kα
Structure: a GGA-PBE-relaxed structure
Neutral-atom scattering factors, no anomalous dispersion.

Atomic structure:
Unit cell a=3.907 b=3.907 c=15.600 alpha=90.00 beta=90.00 gamma=90.00
Space group I4/mmm (No. 139)
Unique sites:
1 Sb 0.000 0.000 0.128 (multiplicity 4)
2 Te 0.000 0.000 0.500 (multiplicity 2)
3 Pd 0.000 0.500 0.250 (multiplicity 4)

Main lines, sorted by position (2θ from 10° to 90°):
11.34 deg, I = 25.1, hkl 0 0 2
28.58 deg, I = 100.0, hkl 1 0 3
34.44 deg, I = 73.4, hkl 1 1 2
36.87 deg, I = 42.5, hkl 1 0 5
39.99 deg, I = 48.6, hkl 1 1 4
46.51 deg, I = 71.2, hkl 2 0 0
48.05 deg, I = 36.9, hkl 1 1 6
55.48 deg, I = 30.5, hkl 2 1 3
60.75 deg, I = 19.4, hkl 2 1 5
67.89 deg, I = 44.9, hkl 2 2 0

=====

Computed powder diffraction line list
Compound: Tc3Ge6Ir
Radiation: Cu Kα
Structure: a GGA-PBE-relaxed structure
Neutral-atom scattering factors, no anomalous dispersion.

Atomic structure:
Unit cell a=6.172 b=6.588 c=8.777 alpha=90.00 beta=110.59 gamma=90.00
Space group P2_1/c (No. 14)
Unique sites:
1 Tc 0.000 0.000 0.000 (multiplicity 2)
2 Tc 0.215 0.133 0.736 (multiplicity 4)
3 Ge 0.078 0.141 0.421 (multiplicity 4)
4 Ge 0.246 0.704 0.394 (multiplicity 4)
5 Ge 0.405 0.033 0.199 (multiplicity 4)
6 Ir 0.500 0.000 0.500 (multiplicity 2)

Main lines, sorted by position (2θ from 10° to 90°):
25.60 deg, I = 47.1, hkl 1 1 1
31.26 deg, I = 28.1, hkl 1 2 0
32.03 deg, I = 33.3, hkl 2 1 -1
33.76 deg, I = 100.0, hkl 1 1 -3
41.58 deg, I = 50.3, hkl 2 2 0
43.47 deg, I = 33.9, hkl 1 1 -4
44.11 deg, I = 86.7, hkl 1 3 -1
44.21 deg, I = 34.4, hkl 2 0 2
46.58 deg, I = 58.7, hkl 3 1 -1
73.81 deg, I = 26.9, hkl 2 4 -4

=====

Computed powder diffraction line list
Compound: Sr5Cd2Sb5F
Radiation: Cu Kα
Structure: a GGA-PBE-relaxed structure
Neutral-atom scattering factors, no anomalous dispersion.

Atomic structure:
Unit cell a=4.801 b=22.473 c=14.951 alpha=90.00 beta=90.00 gamma=90.00
Space group Cmcm (No. 63)
Unique sites:
1 Sr 0.000 0.000 0.000 (multiplicity 4)
2 Sr 0.000 0.097 0.250 (multiplicity 4)
3 Sr 0.000 0.101 0.750 (multiplicity 4)
4 Sr 0.000 0.271 0.120 (multiplicity 8)
5 Cd 0.000 0.369 0.586 (multiplicity 8)
6 Sb 0.000 0.149 0.520 (multiplicity 8)
7 Sb 0.000 0.294 0.750 (multiplicity 4)
8 Sb 0.000 0.495 0.654 (multiplicity 8)
9 F 0.000 0.343 0.250 (multiplicity 4)

Main lines, sorted by position (2θ from 10° to 90°):
27.18 deg, I = 35.8, hkl 1 5 0
28.43 deg, I = 51.1, hkl 1 3 3
29.74 deg, I = 80.5, hkl 1 5 2
30.57 deg, I = 100.0, hkl 1 1 4
31.86 deg, I = 29.8, hkl 0 8 0
32.68 deg, I = 40.9, hkl 1 5 3
35.60 deg, I = 27.5, hkl 1 1 5
37.46 deg, I = 68.4, hkl 2 0 0
41.58 deg, I = 26.9, hkl 1 7 4
42.62 deg, I = 33.5, hkl 1 3 6

=====

Computed powder diffraction line list
Compound: Sn2HgSb2Pb2
Radiation: Cu Kα
Structure: a GGA-PBE-relaxed structure
Neutral-atom scattering factors, no anomalous dispersion.

Atomic structure:
Unit cell a=5.7312 b=5.7312 c=9.3692 alpha=90.00 beta=90.00 gamma=120.00
Space group P-3m1 (No. 164)
Unique sites:
1 Sn 0.3333 0.6667 0.3753 (multiplicity 2)
2 Hg 0.0000 0.0000 0.0000 (multiplicity 1)
3 Sb 0.3333 0.6667 0.6898 (multiplicity 2)
4 Pb 0.0000 0.0000 0.3170 (multiplicity 2)

Main lines, sorted by position (2θ from 10° to 90°):
17.87 deg, I = 41.2, hkl 1 0 0
20.25 deg, I = 14.2, hkl 1 0 1
28.58 deg, I = 33.5, hkl 0 0 3
31.21 deg, I = 100.0, hkl 1 1 0
33.91 deg, I = 28.7, hkl 0 1 3
42.83 deg, I = 68.5, hkl 1 1 3
55.55 deg, I = 20.0, hkl 3 0 0
57.29 deg, I = 13.2, hkl 1 2 3
63.65 deg, I = 21.5, hkl 3 0 3
72.59 deg, I = 14.8, hkl 2 2 3